(1)
Diffraction record for Ba4Nd2Cu2O9. The powder diffraction line list is calculated, not measured: it uses a structure optimized by DFT (PBE) and copper Kα.
Intensities are scaled so that the largest is 100.

Most intense lines, 2θ = 10–80°, sorted by position:
d [Å]  2theta  intensity
3.360  26.53  20
3.028  29.50  39
2.891  30.93  100
2.308  39.03  14
2.141  42.20  13
2.061  43.94  24
1.959  46.35  14
1.721  53.23  15
1.645  55.90  14
1.474  63.08  12

Atomic structure:
```
Ba4Nd2Cu2O9
1.0
12.113 0.000 0.000
0.000 12.113 0.000
0.000 0.000 3.918
Ba Nd Cu O
8 4 4 18
Cartesian
1.375 2.079 0.935
2.079 10.739 2.983
3.977 4.682 1.024
4.682 8.136 2.895
7.432 3.977 2.895
8.136 7.432 1.024
10.034 1.375 2.983
10.739 10.034 0.935
1.335 7.392 0.980
4.721 1.335 2.939
7.392 10.778 2.939
10.778 4.721 0.980
1.192 4.865 2.939
4.865 10.922 0.980
7.248 1.192 0.980
10.922 7.248 2.939
0.000 0.000 0.000
0.280 8.591 2.936
1.125 4.932 0.980
2.534 6.336 2.942
2.952 9.008 0.980
3.105 2.952 2.939
3.523 0.280 0.982
4.932 10.989 2.939
5.777 2.534 0.977
6.057 6.057 1.959
6.336 9.579 0.977
7.181 1.125 2.939
8.591 11.834 0.982
9.008 9.162 2.939
9.162 3.105 0.980
9.579 5.777 2.942
10.989 7.181 0.980
11.834 3.523 2.936
```



(2)
Diffraction record for Ba2NdCu3O6. The powder diffraction line list is calculated, not measured: it uses a structure optimized by DFT (PBE) and copper Kα.
Intensities are scaled so that the largest is 100.

Most intense lines, 2θ = 10–80°, sorted by position:
d [Å]  2theta  intensity
3.925  22.65  11
2.818  31.76  100
2.776  32.25  57
2.401  37.45  17
2.289  39.36  13
1.963  46.26  30
1.635  56.26  13
1.610  57.20  37
1.388  67.49  9
1.241  76.79  9

Atomic structure:
```
Ba2NdCu3O6
1.0
3.925 0.000 0.000
0.000 3.925 0.000
0.000 0.000 12.142
Ba Nd Cu O
2 1 3 6
Cartesian
0.000 0.000 2.357
0.000 0.000 9.785
0.000 0.000 6.071
1.963 1.963 0.000
1.963 1.963 4.357
1.963 1.963 7.785
0.000 1.963 4.521
0.000 1.963 7.621
1.963 0.000 4.521
1.963 0.000 7.621
1.963 1.963 1.797
1.963 1.963 10.345
```



(3)
Diffraction record for Ba3Nd3Cu6O14. The powder diffraction line list is calculated, not measured: it uses a structure optimized by DFT (PBE) and copper Kα.
Intensities are scaled so that the largest is 100.

Most intense lines, 2θ = 10–80°, sorted by position:
d [Å]  2theta  intensity
2.775  32.26  100
2.742  32.66  52
2.257  39.95  15
1.986  45.69  16
1.944  46.74  10
1.935  46.97  14
1.608  57.28  21
1.591  57.96  17
1.588  58.10  18
1.386  67.61  9

Atomic structure:
```
Ba3Nd3Cu6O14
1.0
0.000 3.972 11.661
3.869 0.000 11.661
3.869 3.972 0.000
Ba Nd Cu O
3 3 6 14
Cartesian
0.000 0.000 0.000
3.869 3.972 4.219
3.869 3.972 15.832
3.869 3.972 7.938
3.869 3.972 11.576
3.869 3.972 19.620
1.935 1.986 2.042
1.935 1.986 6.201
1.935 1.986 9.689
5.804 5.957 13.703
5.804 5.957 17.862
5.804 5.957 21.351
1.935 1.986 0.178
5.809 3.972 6.445
3.869 1.971 6.509
5.765 3.972 9.558
1.935 1.986 3.916
3.869 2.061 9.573
5.510 3.972 13.526
5.804 5.957 11.840
1.929 3.972 6.445
3.869 5.972 6.509
3.869 5.882 9.573
1.973 3.972 9.558
5.804 5.957 15.577
2.228 3.972 13.526
```



(4)
Diffraction record for Ba4PrNdCu6O14. The powder diffraction line list is calculated, not measured: it uses a structure optimized by DFT (PBE) and copper Kα.
Intensities are scaled so that the largest is 100.

Most intense lines, 2θ = 10–80°, sorted by position:
d [Å]  2theta  intensity
3.963  22.44  11
2.802  31.94  47
2.776  32.25  100
2.274  39.64  14
1.981  45.80  25
1.945  46.71  14
1.613  57.11  39
1.598  57.70  17
1.387  67.52  8
1.232  77.45  8

Atomic structure:
```
Ba4PrNdCu6O14
1.0
3.890 0.000 0.000
0.000 3.959 0.000
0.000 0.000 23.802
Ba Pr Nd Cu O
4 1 1 6 14
Cartesian
0.000 0.000 3.817
0.000 0.000 8.087
0.000 0.000 15.715
0.000 0.000 19.985
0.000 0.000 0.000
0.000 0.000 11.901
1.945 1.980 1.843
1.945 1.980 5.951
1.945 1.980 10.070
1.945 1.980 13.733
1.945 1.980 17.851
1.945 1.980 21.959
0.000 1.980 1.537
0.000 1.980 10.386
0.000 1.980 13.416
0.000 1.980 22.266
1.945 0.000 1.549
1.945 0.000 5.952
1.945 0.000 10.374
1.945 0.000 13.428
1.945 0.000 17.850
1.945 0.000 22.254
1.945 1.980 4.073
1.945 1.980 7.831
1.945 1.980 15.971
1.945 1.980 19.729
```



(5)
Diffraction record for Ba4Nd8Cu3PtO20. The powder diffraction line list is calculated, not measured: it uses a structure optimized by DFT (PBE) and copper Kα.
Intensities are scaled so that the largest is 100.

Most intense lines, 2θ = 10–80°, sorted by position:
d [Å]  2theta  intensity
3.032  29.46  19
2.954  30.25  38
2.941  30.39  100
2.699  33.19  50
2.398  37.51  23
2.145  42.13  13
2.117  42.70  14
2.115  42.75  23
1.703  53.83  20
1.630  56.46  12

Atomic structure:
```
Ba4Nd8Cu3PtO20
1.0
6.781 0.000 0.000
0.000 5.909 0.000
-0.034 0.000 13.567
Ba Nd Cu Pt O
4 8 3 1 20
Cartesian
0.000 0.000 0.000
-0.017 0.000 6.784
3.372 0.000 3.394
3.375 0.000 10.173
1.135 2.954 11.334
1.169 2.954 4.576
2.195 2.954 1.190
2.194 2.954 7.962
4.553 2.954 5.605
4.552 2.954 12.377
5.578 2.954 8.991
5.612 2.954 2.233
6.770 0.000 3.393
-0.023 0.000 10.174
3.374 0.000 6.784
3.391 0.000 0.000
0.000 2.954 0.000
-0.017 2.954 6.784
0.924 1.448 2.463
0.924 4.461 2.463
0.917 1.440 9.235
0.917 4.469 9.235
2.391 1.489 12.599
2.391 4.420 12.599
2.437 1.439 5.845
2.437 4.470 5.845
3.378 2.954 3.400
3.369 2.954 10.168
4.310 1.439 7.723
4.310 4.470 7.723
4.356 1.489 0.968
4.356 4.420 0.968
5.830 1.440 4.333
5.830 4.469 4.333
5.824 1.448 11.105
5.824 4.461 11.105
```



(6)
Diffraction record for Ba2Nd2Ti2Cu2O11. The powder diffraction line list is calculated, not measured: it uses a structure optimized by DFT (PBE) and copper Kα.
Intensities are scaled so that the largest is 100.

Most intense lines, 2θ = 10–80°, sorted by position:
d [Å]  2theta  intensity
3.938  22.58  16
2.809  31.85  100
2.785  32.15  49
2.287  39.39  28
2.005  45.24  11
1.969  46.10  33
1.627  56.57  16
1.612  57.13  37
1.405  66.57  12
1.392  67.25  10

Atomic structure:
```
Ba2Nd2Ti2Cu2O11
1.0
3.938 0.000 0.000
0.000 3.938 0.000
0.000 0.000 16.036
Ba Nd Ti Cu O
2 2 2 2 11
Cartesian
0.000 0.000 3.748
0.000 0.000 12.288
0.000 0.000 0.000
0.000 0.000 8.018
1.969 1.969 6.004
1.969 1.969 10.033
1.969 1.969 1.708
1.969 1.969 14.328
0.000 1.969 1.534
0.000 1.969 6.213
0.000 1.969 9.823
0.000 1.969 14.502
1.969 0.000 1.534
1.969 0.000 6.213
1.969 0.000 9.823
1.969 0.000 14.502
1.969 1.969 4.140
1.969 1.969 8.018
1.969 1.969 11.896
```



(7)
Diffraction record for Ba4NdYCu8O16. The powder diffraction line list is calculated, not measured: it uses a structure optimized by DFT (PBE) and copper Kα.
Intensities are scaled so that the largest is 100.

Most intense lines, 2θ = 10–80°, sorted by position:
d [Å]  2theta  intensity
2.984  29.94  43
2.778  32.22  100
2.761  32.43  99
2.589  34.65  63
1.965  46.20  56
1.961  46.29  33
1.603  57.48  38
1.563  59.10  26
1.531  60.45  29
1.389  67.40  27

Atomic structure:
```
Ba4NdYCu8O16
1.0
3.922 0.000 0.000
0.000 3.927 0.000
0.000 0.000 27.543
Ba Nd Y Cu O
4 1 1 8 16
Cartesian
0.000 0.000 3.759
0.000 0.000 23.784
1.961 0.000 10.009
1.961 0.000 17.534
1.961 0.000 13.772
0.000 0.000 0.000
0.000 1.963 7.916
0.000 1.963 12.032
0.000 1.963 15.511
0.000 1.963 19.627
1.961 1.963 1.718
1.961 1.963 5.855
1.961 1.963 21.688
1.961 1.963 25.825
0.000 0.000 12.257
0.000 0.000 15.287
0.000 1.963 1.450
0.000 1.963 6.020
0.000 1.963 9.759
0.000 1.963 17.784
0.000 1.963 21.524
0.000 1.963 26.094
1.961 0.000 1.452
1.961 0.000 26.092
1.961 1.963 4.008
1.961 1.963 7.751
1.961 1.963 12.258
1.961 1.963 15.286
1.961 1.963 19.792
1.961 1.963 23.535
```



(8)
Diffraction record for BaCu3NiSe4. The powder diffraction line list is calculated, not measured: it uses a structure optimized by DFT (PBE) and copper Kα.
Intensities are scaled so that the largest is 100.

Most intense lines, 2θ = 10–80°, sorted by position:
d [Å]  2theta  intensity
4.347  20.43  29
3.549  25.09  94
2.510  35.78  20
2.173  41.55  100
1.854  49.16  38
1.643  55.97  14
1.537  60.22  13
1.449  64.29  12
1.410  66.27  11
1.255  75.81  24

Atomic structure:
```
BaCu3NiSe4
1.0
6.147 0.000 0.000
0.000 6.147 0.000
0.000 0.000 6.147
Ba Cu Ni Se
1 3 1 4
Cartesian
0.000 0.000 0.000
0.000 3.074 3.074
3.074 0.000 3.074
3.074 3.074 0.000
3.074 3.074 3.074
1.747 1.747 4.401
1.747 4.401 1.747
4.401 1.747 1.747
4.401 4.401 4.401
```



(9)
Diffraction record for BaCu4O4. The powder diffraction line list is calculated, not measured: it uses a structure optimized by DFT (PBE) and copper Kα.
Intensities are scaled so that the largest is 100.

Most intense lines, 2θ = 10–80°, sorted by position:
d [Å]  2theta  intensity
3.761  23.65  54
2.935  30.45  100
2.612  34.34  85
2.347  38.35  80
1.991  45.55  19
1.772  51.58  31
1.746  52.41  40
1.660  55.35  23
1.445  64.50  23
1.306  72.36  21

Atomic structure:
```
BaCu4O4
1.0
6.639 0.000 0.000
0.000 6.639 0.000
0.000 0.000 6.286
Ba Cu O
2 8 8
Cartesian
1.660 1.660 0.000
4.979 4.979 0.000
0.000 0.000 3.143
0.000 3.319 3.143
1.660 4.979 1.621
1.660 4.979 4.666
3.319 0.000 3.143
3.319 3.319 3.143
4.979 1.660 1.621
4.979 1.660 4.666
0.393 3.712 1.436
0.393 6.246 4.850
2.927 3.712 4.850
2.927 6.246 1.436
3.712 0.393 4.850
3.712 2.927 1.436
6.246 0.393 1.436
6.246 2.927 4.850
```



(10)
Diffraction record for Ba8Cu8O19. The powder diffraction line list is calculated, not measured: it uses a structure optimized by DFT (PBE) and copper Kα.
Intensities are scaled so that the largest is 100.

Most intense lines, 2θ = 10–80°, sorted by position:
d [Å]  2theta  intensity
3.445  25.86  29
3.431  25.97  17
3.407  26.16  18
3.390  26.29  21
3.373  26.42  12
2.877  31.09  100
2.853  31.36  48
2.665  33.63  26
2.214  40.76  20
1.438  64.82  15

Atomic structure:
```
Ba8Cu8O19
1.0
5.755 0.000 0.000
-0.010 9.405 0.000
-0.095 -0.219 9.908
Ba Cu O
8 8 19
Cartesian
0.000 0.000 0.000
-0.061 6.894 6.444
0.015 2.284 3.202
2.768 4.582 4.922
2.834 6.892 1.593
2.822 -0.071 4.866
2.833 2.322 8.103
5.568 4.533 9.853
-0.024 8.246 3.094
-0.011 3.492 6.449
0.063 0.929 6.530
2.767 5.665 8.058
2.909 3.563 1.453
2.909 8.251 7.842
2.998 1.027 1.531
5.701 5.663 3.093
1.096 6.957 3.881
1.253 4.604 7.415
1.347 2.234 5.779
1.410 -0.057 7.537
1.528 4.425 2.310
1.688 -0.004 2.271
1.711 2.185 0.831
2.648 4.722 9.649
2.780 6.821 6.450
3.867 7.024 8.904
4.179 4.647 2.454
4.252 2.288 0.772
4.337 -0.036 2.333
4.371 4.393 7.295
4.462 0.014 7.452
4.530 2.161 5.850
5.631 4.743 4.685
5.668 6.979 1.612
5.674 9.146 4.692
```



Please write out number 2 again, unchanged.
Diffraction record for Ba2NdCu3O6. The powder diffraction line list is calculated, not measured: it uses a structure optimized by DFT (PBE) and copper Kα.
Intensities are scaled so that the largest is 100.

Most intense lines, 2θ = 10–80°, sorted by position:
d [Å]  2theta  intensity
3.925  22.65  11
2.818  31.76  100
2.776  32.25  57
2.401  37.45  17
2.289  39.36  13
1.963  46.26  30
1.635  56.26  13
1.610  57.20  37
1.388  67.49  9
1.241  76.79  9

Atomic structure:
```
Ba2NdCu3O6
1.0
3.925 0.000 0.000
0.000 3.925 0.000
0.000 0.000 12.142
Ba Nd Cu O
2 1 3 6
Cartesian
0.000 0.000 2.357
0.000 0.000 9.785
0.000 0.000 6.071
1.963 1.963 0.000
1.963 1.963 4.357
1.963 1.963 7.785
0.000 1.963 4.521
0.000 1.963 7.621
1.963 0.000 4.521
1.963 0.000 7.621
1.963 1.963 1.797
1.963 1.963 10.345
```